This entry pairs a crystal structure of Ba4Sr2Bi3F2 with its computed powder X-ray diffraction pattern. Radiation: a wavelength of 1.5418 Å. Structure: a cell relaxed with PBE.
Intensities are scaled so that the largest is 100.

Top 6 peaks for 10 to 90 degrees two-theta, sorted by position:
2θ (°)	intensity
16.7	29
23.0	22
24.1	27
30.3	100
33.1	57
57.4	34

Cell and atoms:
```
Ba4Sr2Bi3F2
1.0
-2.710 2.710 13.825
2.710 -2.710 13.825
2.710 2.710 -13.825
Ba Sr Bi F
4 2 3 2
Cartesian
2.710 0.000 2.313 Ba
2.710 0.000 11.512 Ba
0.000 2.710 2.313 Ba
0.000 2.710 11.512 Ba
0.000 0.000 5.571 Sr
0.000 0.000 22.079 Sr
0.000 0.000 8.936 Bi
0.000 0.000 13.825 Bi
0.000 0.000 18.714 Bi
0.000 0.000 2.981 F
0.000 0.000 24.669 F
```